No. 1
Diffraction record for Nd3Zn3Ni2. The powder XRD pattern is simulated, not measured: it uses a DFT-relaxed cell (GGA-PBE, Alexandria) and copper Kα.
Peak positions follow from Bragg's law for the DFT cell and can differ from measured ones.

Atomic structure:
```
data_Nd3Zn3Ni2
_chemical_formula_sum 'Nd12 Zn12 Ni8'
_cell_length_a 7.736
_cell_length_b 15.638
_cell_length_c 5.553
_cell_angle_alpha 90.00
_cell_angle_beta 90.00
_cell_angle_gamma 90.00
_space_group_name_H-M_alt 'P n m a'
_space_group_IT_number 62
loop_
_space_group_symop_operation_xyz
'x,y,z'
'-x,-y,-z'
'-x+1/2,-y,z+1/2'
'x+1/2,y,-z+1/2'
'x+1/2,-y+1/2,-z+1/2'
'-x+1/2,y+1/2,z+1/2'
'-x,y+1/2,-z'
'x,-y+1/2,z'
loop_
_atom_site_label
_atom_site_type_symbol
_atom_site_fract_x
_atom_site_fract_y
_atom_site_fract_z
Nd1 Nd 0.035 0.106 0.114
Nd2 Nd 0.164 0.250 0.626
Zn1 Zn 0.172 0.036 0.601
Zn2 Zn 0.179 0.750 0.617
Ni1 Ni 0.119 0.610 0.379
```

Peak list (10 most intense, 15° ≤ 2θ ≤ 90°, sorted by position)
| Position (°2θ) | Rel. int. | h k l |
| --- | --- | --- |
| 30.25 | 43.8 | 1 4 1 |
| 32.56 | 54.1 | 2 4 0 |
| 34.32 | 23.8 | 1 0 2 |
| 34.41 | 28.6 | 0 6 0 |
| 34.81 | 47.5 | 1 1 2 |
| 36.46 | 53.2 | 2 4 1 |
| 38.51 | 100.0 | 3 0 1 |
| 41.57 | 28.7 | 1 4 2 |
| 49.93 | 17.6 | 4 0 1 |
| 54.00 | 19.7 | 1 7 2 |

No. 2
Diffraction record for Nd5Zn4Ni. The powder XRD pattern is simulated, not measured: it uses a DFT-relaxed cell (GGA-PBE, Alexandria) and copper Kα.
Peak positions follow from Bragg's law for the DFT cell and can differ from measured ones.

Atomic structure:
```
data_Nd5Zn4Ni
_chemical_formula_sum 'Nd5 Zn4 Ni1'
_cell_length_a 3.647
_cell_length_b 3.647
_cell_length_c 18.286
_cell_angle_alpha 90.00
_cell_angle_beta 90.00
_cell_angle_gamma 90.00
_space_group_name_H-M_alt 'P 4/m m m'
_space_group_IT_number 123
_space_group_name_Hall '-P 4 2'
loop_
_atom_site_label
_atom_site_type_symbol
_atom_site_fract_x
_atom_site_fract_y
_atom_site_fract_z
Nd1 Nd 0.000 0.000 0.000
Nd2 Nd 0.000 0.000 0.204
Nd3 Nd 0.000 0.000 0.409
Zn1 Zn 0.500 0.500 0.102
Zn2 Zn 0.500 0.500 0.304
Ni1 Ni 0.500 0.500 0.500
```

Peak list (10 most intense, 15° ≤ 2θ ≤ 90°, sorted by position)
| Position (°2θ) | Rel. int. | h k l |
| --- | --- | --- |
| 24.38 | 14.6 | 1 0 0 |
| 34.75 | 100.0 | 1 1 0 |
| 42.91 | 4.3 | 1 1 5 |
| 49.87 | 5.4 | 0 0 10 |
| 50.02 | 12.0 | 2 0 0 |
| 56.40 | 4.1 | 2 1 0 |
| 62.30 | 34.4 | 2 1 5 |
| 73.32 | 6.6 | 2 0 10 |
| 83.64 | 4.0 | 1 0 15 |
| 83.88 | 10.3 | 3 1 0 |

No. 3
Diffraction record for Nd2Zn5Ni5. The powder XRD pattern is simulated, not measured: it uses a DFT-relaxed cell (GGA-PBE, Alexandria) and copper Kα.
Peak positions follow from Bragg's law for the DFT cell and can differ from measured ones.

Atomic structure:
```
data_Nd2Zn5Ni5
_chemical_formula_sum 'Nd2 Zn5 Ni5'
_cell_length_a 4.071
_cell_length_b 5.209
_cell_length_c 8.945
_cell_angle_alpha 90.00
_cell_angle_beta 90.00
_cell_angle_gamma 90.00
_space_group_name_H-M_alt 'P m m m'
_space_group_IT_number 47
loop_
_space_group_symop_operation_xyz
'x,y,z'
'-x,-y,-z'
'-x,-y,z'
'x,y,-z'
'x,-y,-z'
'-x,y,z'
'-x,y,-z'
'x,-y,z'
loop_
_atom_site_label
_atom_site_type_symbol
_atom_site_fract_x
_atom_site_fract_y
_atom_site_fract_z
Nd1 Nd 0.000 0.000 0.000
Nd2 Nd 0.000 0.500 0.500
Zn1 Zn 0.500 0.000 0.500
Zn2 Zn 0.500 0.253 0.244
Ni1 Ni 0.000 0.000 0.333
Ni2 Ni 0.000 0.500 0.159
Ni3 Ni 0.500 0.500 0.000
```

Peak list (10 most intense, 15° ≤ 2θ ≤ 90°, sorted by position)
| Position (°2θ) | Rel. int. | h k l |
| --- | --- | --- |
| 29.62 | 71.1 | 1 0 2 |
| 34.66 | 29.8 | 0 1 3 |
| 40.06 | 41.0 | 0 2 2 |
| 40.33 | 17.9 | 0 0 4 |
| 41.15 | 52.9 | 1 2 0 |
| 41.34 | 100.0 | 1 1 3 |
| 44.51 | 40.6 | 2 0 0 |
| 61.42 | 22.6 | 2 2 2 |
| 66.41 | 23.3 | 1 3 3 |
| 89.82 | 19.8 | 2 2 6 |

No. 4
Diffraction record for Nd2ZnNi3. The powder XRD pattern is simulated, not measured: it uses a DFT-relaxed cell (GGA-PBE, Alexandria) and copper Kα.
Peak positions follow from Bragg's law for the DFT cell and can differ from measured ones.

Atomic structure:
```
data_Nd2ZnNi3
_chemical_formula_sum 'Nd4 Zn2 Ni6'
_cell_length_a 3.967
_cell_length_b 3.998
_cell_length_c 14.755
_cell_angle_alpha 90.00
_cell_angle_beta 90.00
_cell_angle_gamma 90.00
_space_group_name_H-M_alt 'I m m 2'
_space_group_IT_number 44
loop_
_space_group_symop_operation_xyz
'x,y,z'
'-x,-y,z'
'-x,y,z'
'x,-y,z'
'x+1/2,y+1/2,z+1/2'
'-x+1/2,-y+1/2,z+1/2'
'-x+1/2,y+1/2,z+1/2'
'x+1/2,-y+1/2,z+1/2'
loop_
_atom_site_label
_atom_site_type_symbol
_atom_site_fract_x
_atom_site_fract_y
_atom_site_fract_z
Nd1 Nd 0.000 0.000 0.000
Nd2 Nd 0.000 0.500 0.265
Zn1 Zn 0.000 0.000 0.593
Ni1 Ni 0.000 0.000 0.428
Ni2 Ni 0.000 0.500 0.685
Ni3 Ni 0.000 0.500 0.844
```

Peak list (10 most intense, 15° ≤ 2θ ≤ 90°, sorted by position)
| Position (°2θ) | Rel. int. | h k l |
| --- | --- | --- |
| 28.92 | 21.7 | 1 0 3 |
| 34.08 | 100.0 | 1 1 2 |
| 37.89 | 34.8 | 0 1 5 |
| 38.00 | 17.8 | 1 0 5 |
| 45.37 | 18.8 | 0 2 0 |
| 45.75 | 18.3 | 2 0 0 |
| 48.91 | 26.6 | 1 0 7 |
| 60.86 | 16.8 | 2 1 5 |
| 66.40 | 11.6 | 2 2 0 |
| 68.93 | 12.9 | 1 2 7 |

No. 5
Diffraction record for NdNp4O12. The powder XRD pattern is simulated, not measured: it uses a DFT-relaxed cell (GGA-PBE, Alexandria) and copper Kα.
Peak positions follow from Bragg's law for the DFT cell and can differ from measured ones.

Atomic structure:
```
data_NdNp4O12
_chemical_formula_sum 'Nd2 Np8 O24'
_cell_length_a 8.368
_cell_length_b 8.368
_cell_length_c 8.151
_cell_angle_alpha 90.00
_cell_angle_beta 90.00
_cell_angle_gamma 90.00
_space_group_name_H-M_alt 'I 4/m m m'
_space_group_IT_number 139
_space_group_name_Hall '-I 4 2'
loop_
_atom_site_label
_atom_site_type_symbol
_atom_site_fract_x
_atom_site_fract_y
_atom_site_fract_z
Nd1 Nd 0.000 0.000 0.000
Np1 Np 0.250 0.250 0.250
O1 O 0.000 0.235 0.193
O2 O 0.215 0.215 0.500
```

Peak list (10 most intense, 15° ≤ 2θ ≤ 90°, sorted by position)
| Position (°2θ) | Rel. int. | h k l |
| --- | --- | --- |
| 21.23 | 85.9 | 2 0 0 |
| 21.81 | 37.7 | 0 0 2 |
| 30.21 | 50.1 | 2 2 0 |
| 30.62 | 100.0 | 2 0 2 |
| 37.57 | 23.1 | 2 2 2 |
| 43.25 | 29.7 | 4 0 0 |
| 48.66 | 18.9 | 4 2 0 |
| 48.94 | 19.2 | 4 0 2 |
| 53.92 | 45.3 | 4 2 2 |
| 54.69 | 24.3 | 2 2 4 |

No. 6
Diffraction record for NdNp2O11. The powder XRD pattern is simulated, not measured: it uses a DFT-relaxed cell (GGA-PBE, Alexandria) and copper Kα.
Peak positions follow from Bragg's law for the DFT cell and can differ from measured ones.

Atomic structure:
```
data_NdNp2O11
_chemical_formula_sum 'Nd2 Np4 O22'
_cell_length_a 7.598
_cell_length_b 8.345
_cell_length_c 8.415
_cell_angle_alpha 93.42
_cell_angle_beta 103.50
_cell_angle_gamma 103.82
_space_group_name_H-M_alt 'P 1'
_space_group_IT_number 1
loop_
_space_group_symop_operation_xyz
'x,y,z'
loop_
_atom_site_label
_atom_site_type_symbol
_atom_site_fract_x
_atom_site_fract_y
_atom_site_fract_z
Nd1 Nd 0.000 0.000 0.000
Nd2 Nd 0.422 0.673 0.395
Np1 Np 0.479 0.655 0.900
Np2 Np 0.482 0.184 0.364
Np3 Np 0.967 0.007 0.492
Np4 Np 0.996 0.495 0.989
O1 O 0.014 0.037 0.725
O2 O 0.058 0.736 0.015
O3 O 0.141 0.510 0.212
O4 O 0.155 0.758 0.671
O5 O 0.157 0.788 0.512
O6 O 0.204 0.151 0.503
O7 O 0.259 0.485 0.885
O8 O 0.274 0.171 0.181
O9 O 0.312 0.849 0.783
O10 O 0.416 0.949 0.339
O11 O 0.459 0.604 0.673
O12 O 0.495 0.702 0.127
O13 O 0.523 0.418 0.398
O14 O 0.559 0.319 0.044
O15 O 0.660 0.250 0.157
O16 O 0.669 0.465 0.004
O17 O 0.691 0.834 0.915
O18 O 0.723 0.178 0.487
O19 O 0.750 0.833 0.480
O20 O 0.874 0.492 0.775
O21 O 0.916 0.986 0.260
O22 O 0.929 0.257 0.972
```

Peak list (10 most intense, 15° ≤ 2θ ≤ 90°, sorted by position)
| Position (°2θ) | Rel. int. | h k l |
| --- | --- | --- |
| 16.43 | 89.7 | 0 1 1 |
| 19.20 | 38.6 | 1 1 -1 |
| 21.89 | 75.4 | 0 0 2 |
| 22.25 | 43.8 | 1 0 -2 |
| 22.38 | 100.0 | 1 -2 0 |
| 24.97 | 78.7 | 2 0 0 |
| 28.17 | 42.9 | 1 2 0 |
| 28.79 | 56.0 | 2 0 -2 |
| 31.85 | 36.9 | 1 -2 2 |
| 34.07 | 32.6 | -2 2 2 |

No. 7
Diffraction record for RbNd2NpO6. The powder XRD pattern is simulated, not measured: it uses a DFT-relaxed cell (GGA-PBE, Alexandria) and copper Kα.
Peak positions follow from Bragg's law for the DFT cell and can differ from measured ones.

Atomic structure:
```
data_RbNd2NpO6
_chemical_formula_sum 'Rb3 Nd6 Np3 O18'
_cell_length_a 6.1555
_cell_length_b 6.1555
_cell_length_c 16.2772
_cell_angle_alpha 90.00
_cell_angle_beta 90.00
_cell_angle_gamma 120.00
_space_group_name_H-M_alt 'R 3'
_space_group_IT_number 146
_space_group_name_Hall 'R 3'
loop_
_atom_site_label
_atom_site_type_symbol
_atom_site_fract_x
_atom_site_fract_y
_atom_site_fract_z
Rb1 Rb 0.0000 0.0000 0.0000
Nd1 Nd 0.0000 0.0000 0.2543
Nd2 Nd 0.0000 0.0000 0.7721
Np1 Np 0.0000 0.0000 0.4607
O1 O 0.9996 0.3199 0.5214
O2 O 0.0458 0.5935 0.0399
```

Peak list (10 most intense, 15° ≤ 2θ ≤ 90°, sorted by position)
| Position (°2θ) | Rel. int. | h k l |
| --- | --- | --- |
| 17.51 | 24.2 | 1 0 1 |
| 19.91 | 23.2 | 0 1 2 |
| 27.58 | 82.3 | 1 0 4 |
| 29.01 | 100.0 | 1 1 0 |
| 40.46 | 32.7 | 0 2 4 |
| 44.52 | 35.2 | 2 -1 6 |
| 50.54 | 37.8 | 3 -1 4 |
| 51.42 | 27.6 | 3 0 0 |
| 67.40 | 18.7 | 1 3 4 |
| 74.97 | 19.2 | 4 0 4 |

No. 8
Diffraction record for Rb2NdNpO6. The powder XRD pattern is simulated, not measured: it uses a DFT-relaxed cell (GGA-PBE, Alexandria) and copper Kα.
Peak positions follow from Bragg's law for the DFT cell and can differ from measured ones.

Atomic structure:
```
data_Rb2NdNpO6
_chemical_formula_sum 'Rb8 Nd4 Np4 O24'
_cell_length_a 8.843
_cell_length_b 8.843
_cell_length_c 8.843
_cell_angle_alpha 90.00
_cell_angle_beta 90.00
_cell_angle_gamma 90.00
_space_group_name_H-M_alt 'F m -3 m'
_space_group_IT_number 225
_space_group_name_Hall '-F 4 2 3'
loop_
_atom_site_label
_atom_site_type_symbol
_atom_site_fract_x
_atom_site_fract_y
_atom_site_fract_z
Rb1 Rb 0.250 0.250 0.250
Nd1 Nd 0.000 0.000 0.000
Np1 Np 0.000 0.000 0.500
O1 O 0.000 0.000 0.269
```

Peak list (10 most intense, 15° ≤ 2θ ≤ 90°, sorted by position)
| Position (°2θ) | Rel. int. | h k l |
| --- | --- | --- |
| 17.37 | 7.6 | 1 1 1 |
| 20.08 | 24.7 | 2 0 0 |
| 28.55 | 100.0 | 2 2 0 |
| 40.81 | 29.5 | 4 0 0 |
| 45.89 | 11.3 | 4 2 0 |
| 50.56 | 41.7 | 4 2 2 |
| 59.09 | 18.9 | 4 4 0 |
| 66.92 | 19.0 | 6 2 0 |
| 74.31 | 6.2 | 4 4 4 |
| 81.44 | 22.3 | 6 4 2 |